Starting from a structure optimized by DFT (PBE), the powder XRD pattern of Ce2Se2S was calculated for a wavelength of 1.5418 Å.
Lines closer than 0.1° are merged.

Main lines, sorted by position (2θ = 10–80°):
2θ (°)  d (Å)  I_rel
18.2  4.864  24.2
24.1  3.685  25.4
30.4  2.937  100.0
42.5  2.128  36.6
44.6  2.030  40.1
46.6  1.949  13.4
53.2  1.723  22.0
63.3  1.469  14.0
70.3  1.339  18.2
79.3  1.209  14.8

Cell and atoms:
a b c (Å): 4.255 4.255 9.727
angles (deg): 90.00 90.00 120.00
Fractional coordinates of all 5 atoms:
Ce 0.333 0.667 0.327
Ce 0.667 0.333 0.673
Se 0.333 0.667 0.821
Se 0.667 0.333 0.179
S 0.000 0.000 0.500

---

Starting from a structure optimized by DFT (PBE), the powder XRD pattern of Ce3Se3S was calculated for a wavelength of 1.5418 Å.
Lines closer than 0.1° are merged.

Main lines, sorted by position (2θ = 10–80°):
2θ (°)  d (Å)  I_rel
19.7  4.513  26.2
25.6  3.486  32.2
32.5  2.759  26.4
32.6  2.744  100.0
34.4  2.605  19.0
34.9  2.569  18.6
38.4  2.345  20.7
40.0  2.256  60.2
52.5  1.743  18.3
54.1  1.695  25.6

Cell and atoms:
a b c (Å): 5.810 5.810 5.810
angles (deg): 101.93 101.93 101.93
Fractional coordinates of all 7 atoms:
Ce 0.168 0.168 0.665
Ce 0.168 0.665 0.168
Ce 0.665 0.168 0.168
Se 0.017 0.610 0.610
Se 0.610 0.017 0.610
Se 0.610 0.610 0.017
S 0.160 0.160 0.160

---

Starting from a structure optimized by DFT (PBE), the powder XRD pattern of Ce4SeS6 was calculated for a wavelength of 1.5418 Å.
Lines closer than 0.1° are merged.

Main lines, sorted by position (2θ = 10–80°):
2θ (°)  d (Å)  I_rel
21.6  4.116  33.8
25.0  3.566  100.0
31.4  2.853  18.6
33.2  2.696  33.4
37.9  2.376  52.5
44.0  2.059  46.7
45.9  1.978  43.8
59.4  1.556  19.8
61.0  1.520  13.3
72.6  1.302  14.8

Cell and atoms:
a b c (Å): 9.506 9.506 7.137
angles (deg): 90.00 90.00 120.00
Fractional coordinates of all 22 atoms:
Ce 0.177 0.354 0.000
Ce 0.177 0.823 0.000
Ce 0.333 0.667 0.459
Ce 0.354 0.177 0.500
Ce 0.646 0.823 0.000
Ce 0.667 0.333 0.959
Ce 0.823 0.177 0.500
Ce 0.823 0.646 0.500
Se 0.333 0.667 0.845
Se 0.667 0.333 0.345
S 0.080 0.540 0.228
S 0.142 0.283 0.601
S 0.142 0.858 0.601
S 0.283 0.142 0.101
S 0.460 0.540 0.228
S 0.460 0.920 0.228
S 0.540 0.080 0.728
S 0.540 0.460 0.728
S 0.717 0.858 0.601
S 0.858 0.142 0.101
S 0.858 0.717 0.101
S 0.920 0.460 0.728